# 1
Structure and calculated X-ray powder pattern of Li4Mn5NiP6O24 (a crystal structure in the Materials Project, relaxed with GGA+U; Cu Kα, 1.54184 Å).
Neutral-atom scattering factors, no anomalous dispersion.

Structural model:
Cell lengths 8.495, 8.598, 8.607 Å; angles 62.13, 63.03, 63.83 degrees
Space group P1 (No. 1)
Symmetry-distinct sites (fractional):
Li 0.000 0.000 0.000 x1
Li 0.096 0.899 0.507 x1
Li 0.198 0.409 0.394 x1
Li 0.582 0.606 0.813 x1
Mn 0.354 0.760 0.146 x1
Mn 0.493 0.902 0.303 x1
Mn 0.703 0.112 0.507 x1
Mn 0.836 0.268 0.655 x1
Mn 0.998 0.418 0.807 x1
Ni 0.194 0.608 0.007 x1
P 0.093 0.203 0.208 x1
P 0.298 0.006 0.694 x1
P 0.406 0.511 0.602 x1
P 0.594 0.299 0.115 x1
P 0.785 0.816 0.906 x1
P 0.906 0.710 0.403 x1
O 0.027 0.230 0.057 x1
O 0.096 0.688 0.242 x1
O 0.107 0.156 0.723 x1
O 0.154 0.359 0.180 x1
O 0.238 0.008 0.236 x1
O 0.252 0.449 0.621 x1
O 0.289 0.849 0.888 x1
O 0.315 0.945 0.545 x1
O 0.368 0.570 0.762 x1
O 0.409 0.681 0.413 x1
O 0.441 0.490 0.097 x1
O 0.463 0.069 0.642 x1
O 0.522 0.143 0.159 x1
O 0.596 0.365 0.578 x1
O 0.597 0.839 0.062 x1
O 0.665 0.260 0.268 x1
O 0.741 0.764 0.344 x1
O 0.742 0.321 0.919 x1
O 0.779 0.004 0.737 x1
O 0.803 0.662 0.850 x1
O 0.897 0.853 0.468 x1
O 0.921 0.513 0.554 x1
O 0.938 0.178 0.407 x1
O 0.949 0.787 0.958 x1

Largest 10 diffraction maxima, low angle first, 2θ = 10–90°:
2θ (°), I_rel
19.65, 76
19.87, 66
20.00, 75
23.54, 55
23.82, 100
24.01, 93
32.62, 91
33.18, 80
34.44, 55
34.68, 52

# 2
Structure and calculated X-ray powder pattern of MgVFeP4O14 (a crystal structure in the Materials Project, relaxed with GGA+U; Cu Kα, 1.54184 Å).
Neutral-atom scattering factors, no anomalous dispersion.

Structural model:
Cell lengths 5.017, 6.850, 8.353 Å; angles 90.40, 90.30, 109.24 degrees
Space group P1 (No. 1)
Symmetry-distinct sites (fractional):
Mg 0.000 0.000 0.000 x1
V 0.181 0.471 0.877 x1
Fe 0.595 0.906 0.399 x1
P 0.011 0.682 0.200 x1
P 0.167 0.100 0.610 x1
P 0.616 0.262 0.111 x1
P 0.772 0.694 0.708 x1
O 0.116 0.702 0.025 x1
O 0.230 0.685 0.325 x1
O 0.277 0.294 0.710 x1
O 0.346 0.276 0.029 x1
O 0.396 0.015 0.559 x1
O 0.532 0.080 0.222 x1
O 0.562 0.674 0.847 x1
O 0.658 0.694 0.541 x1
O 0.759 0.464 0.216 x1
O 0.835 0.243 0.985 x1
O 0.863 0.848 0.213 x1
O 0.949 0.551 0.721 x1
O 0.957 0.105 0.480 x1
O 0.984 0.931 0.751 x1

Largest 10 diffraction maxima, low angle first, 2θ = 10–90°:
2θ (°), I_rel
13.69, 23
17.26, 60
17.42, 79
21.64, 44
22.00, 89
25.28, 38
28.79, 100
28.89, 84
29.79, 31
40.19, 21

# 3
Structure and calculated X-ray powder pattern of LiAlNiO3 (a crystal structure in the Materials Project, relaxed with GGA+U; Cu Kα, 1.54184 Å).
Neutral-atom scattering factors, no anomalous dispersion.

Structural model:
Cell lengths 5.239, 5.320, 5.417 Å; angles 67.09, 68.61, 65.87 degrees
Space group P-1 (No. 2)
Symmetry-distinct sites (fractional):
Li 0.068 0.428 0.255 x2
Al 0.247 0.916 0.087 x2
Ni 0.415 0.748 0.591 x2
O 0.077 0.775 0.924 x2
O 0.249 0.618 0.395 x2
O 0.444 0.074 0.216 x2

Largest 10 diffraction maxima, low angle first, 2θ = 10–90°:
2θ (°), I_rel
19.13, 100
22.46, 48
23.10, 42
29.77, 48
30.16, 56
31.17, 55
44.24, 68
52.44, 37
54.38, 50
55.08, 32